(1)
Diffraction record for Rb2Cu2I5. The powder diffractogram is simulated, not measured: it uses DFT lattice parameters and positions (PBE) and Cu Kα (weighted mean of Kα1 and Kα2).
Lines closer than 0.1° are merged.

Most intense lines, 2θ from 10° to 90°, low angle first:
hkl 4 0 -1, d = 3.554 Å, 2θ = 25.1°, I 69.5; hkl 1 1 -2, d = 3.444 Å, 2θ = 25.9°, I 100.0; hkl 3 1 1, d = 3.231 Å, 2θ = 27.6°, I 95.3; hkl 0 2 0, d = 2.844 Å, 2θ = 31.5°, I 65.8; hkl 2 0 3, d = 2.520 Å, 2θ = 35.6°, I 41.9; hkl 4 2 -1, d = 2.221 Å, 2θ = 40.6°, I 41.0

Cell lengths 14.6675, 5.6878, 8.7243 Å; angles 90.00, 99.83, 90.00 degrees
Space group C2/m (No. 12)
Unique sites:
1 Rb 0.0992 0.0000 0.2899 (multiplicity 4)
2 Cu 0.1650 0.5000 0.8784 (multiplicity 4)
3 I 0.0000 0.5000 0.0000 (multiplicity 2)
4 I 0.1416 0.5000 0.5789 (multiplicity 4)
5 I 0.1906 0.0000 0.8992 (multiplicity 4)

---

(2)
Diffraction record for Ac4HgIr2. The powder diffractogram is simulated, not measured: it uses DFT lattice parameters and positions (PBE) and Cu Kα (weighted mean of Kα1 and Kα2).
Lines closer than 0.1° are merged.

Most intense lines, 2θ from 10° to 90°, low angle first:
hkl 0 0 6, d = 7.533 Å, 2θ = 11.7°, I 18.6; hkl 1 0 7, d = 3.270 Å, 2θ = 27.3°, I 100.0; hkl 1 0 13, d = 2.563 Å, 2θ = 35.0°, I 19.8; hkl 0 1 14, d = 2.459 Å, 2θ = 36.5°, I 22.7; hkl 1 1 0, d = 2.190 Å, 2θ = 41.2°, I 42.7; hkl 0 2 7, d = 1.820 Å, 2θ = 50.1°, I 19.5

Cell lengths 4.3798, 4.3798, 45.2000 Å; angles 90.00, 90.00, 120.00 degrees
Space group R-3m (No. 166, hexagonal axes)
Unique sites:
1 Ac 0.0000 0.0000 0.1247 (multiplicity 6)
2 Ac 0.0000 0.0000 0.2792 (multiplicity 6)
3 Hg 0.0000 0.0000 0.0000 (multiplicity 3)
4 Ir 0.0000 0.0000 0.4236 (multiplicity 6)

---

(3)
Diffraction record for Pu2MnS4. The powder diffractogram is simulated, not measured: it uses DFT lattice parameters and positions (PBE) and Cu Kα (weighted mean of Kα1 and Kα2).
Lines closer than 0.1° are merged.

Most intense lines, 2θ from 10° to 90°, low angle first:
hkl 0 2 0, d = 5.279 Å, 2θ = 16.8°, I 44.2; hkl 0 0 1, d = 4.023 Å, 2θ = 22.1°, I 56.9; hkl 2 1 0, d = 3.283 Å, 2θ = 27.2°, I 52.1; hkl 1 3 0, d = 3.136 Å, 2θ = 28.5°, I 49.1; hkl 2 1 1, d = 2.544 Å, 2θ = 35.3°, I 100.0; hkl 1 3 1, d = 2.473 Å, 2θ = 36.3°, I 39.8

Cell lengths 6.9089, 10.5580, 4.0234 Å; angles 90.00, 90.00, 90.00 degrees
Space group Pbam (No. 55)
Unique sites:
1 Pu 0.1109 0.1834 0.0000 (multiplicity 4)
2 Mn 0.0000 0.5000 0.5000 (multiplicity 2)
3 S 0.1148 0.7119 0.5000 (multiplicity 4)
4 S 0.2444 0.4435 0.0000 (multiplicity 4)

---

(4)
Diffraction record for Be2Nb2CoNi5. The powder diffractogram is simulated, not measured: it uses DFT lattice parameters and positions (PBE) and Cu Kα (weighted mean of Kα1 and Kα2).
Lines closer than 0.1° are merged.

Most intense lines, 2θ from 10° to 90°, low angle first:
hkl 2 1 1, d = 2.485 Å, 2θ = 36.2°, I 79.6; hkl 2 2 1, d = 2.206 Å, 2θ = 40.9°, I 50.4; hkl 3 1 1, d = 2.066 Å, 2θ = 43.8°, I 100.0; hkl 4 1 0, d = 2.016 Å, 2θ = 45.0°, I 73.7; hkl 3 2 1, d = 1.897 Å, 2θ = 48.0°, I 33.0; hkl 4 1 2, d = 1.286 Å, 2θ = 73.7°, I 31.5

Cell lengths 8.3107, 8.3107, 3.3406 Å; angles 90.00, 90.00, 90.00 degrees
Space group P4/mbm (No. 127)
Unique sites:
1 Be 0.1108 0.3892 0.0000 (multiplicity 4)
2 Nb 0.1847 0.6847 0.0000 (multiplicity 4)
3 Co 0.0000 0.0000 0.0000 (multiplicity 2)
4 Ni 0.0000 0.5000 0.5000 (multiplicity 2)
5 Ni 0.0617 0.2094 0.5000 (multiplicity 8)